# 1
Starting from a PBE-relaxed structure, the X-ray powder pattern of LaGeBPd6 was simulated for Cu Kα (λ = 1.5418 Å).
No peak broadening, texture or thermal motion is included.

The 12 most intense peaks (5 to 70 degrees two-theta), by angle:
2θ = 29.13°, I 24; 2θ = 31.84°, I 19; 2θ = 33.61°, I 100; 2θ = 34.58°, I 29; 2θ = 36.13°, I 36; 2θ = 38.50°, I 32; 2θ = 42.90°, I 40; 2θ = 46.41°, I 13; 2θ = 46.98°, I 47; 2θ = 47.63°, I 17; 2θ = 53.23°, I 17; 2θ = 61.79°, I 15

Cell: 7.8237 7.8237 7.8237 Å, 127.81 114.78 88.16°
Sites, in units of the cell vectors:
La 0.4310 0.1810 0.2500
La 0.5690 0.8190 0.7500
Ge 0.0000 0.0000 0.5000
Ge 0.0000 0.5000 0.0000
B 0.0000 0.5000 0.5000
B 0.5000 0.5000 0.0000
Pd 0.1116 0.4029 0.2656
Pd 0.1116 0.8460 0.7087
Pd 0.1606 0.9106 0.2500
Pd 0.2928 0.5428 0.7500
Pd 0.3627 0.1540 0.7656
Pd 0.3627 0.5971 0.2087
Pd 0.6373 0.4029 0.7913
Pd 0.6373 0.8460 0.2344
Pd 0.7072 0.4572 0.2500
Pd 0.8394 0.0894 0.7500
Pd 0.8884 0.1540 0.2913
Pd 0.8884 0.5971 0.7344


# 2
Starting from a PBE-relaxed structure, the X-ray powder pattern of Mn3GeB was simulated for Cu Kα (λ = 1.5418 Å).
No peak broadening, texture or thermal motion is included.

The 6 most intense peaks (5 to 70 degrees two-theta), by angle:
2θ = 32.91°, I 4; 2θ = 40.60°, I 100; 2θ = 47.23°, I 53; 2θ = 53.21°, I 1; 2θ = 58.76°, I 1; 2θ = 69.01°, I 31

Cell: 3.8491 3.8491 3.8491 Å, 90.00 90.00 90.00°
Sites, in units of the cell vectors:
Mn 0.0000 0.0000 0.5000
Mn 0.0000 0.5000 0.0000
Mn 0.5000 0.0000 0.0000
Ge 0.5000 0.5000 0.5000
B 0.0000 0.0000 0.0000


# 3
Starting from a PBE-relaxed structure, the X-ray powder pattern of Na2GeBPt6 was simulated for Cu Kα (λ = 1.5418 Å).
No peak broadening, texture or thermal motion is included.

The 12 most intense peaks (5 to 70 degrees two-theta), by angle:
2θ = 13.96°, I 36; 2θ = 20.29°, I 58; 2θ = 26.03°, I 14; 2θ = 28.14°, I 28; 2θ = 34.54°, I 13; 2θ = 37.71°, I 100; 2θ = 41.25°, I 73; 2θ = 42.74°, I 36; 2θ = 43.75°, I 28; 2θ = 49.92°, I 38; 2θ = 65.60°, I 25; 2θ = 65.98°, I 18

Cell: 7.1434 7.1434 7.1434 Å, 46.97 46.97 46.97°
Sites, in units of the cell vectors:
Na 0.2077 0.2077 0.2077
Na 0.7923 0.7923 0.7923
Ge 0.5000 0.5000 0.5000
B 0.0000 0.0000 0.0000
Pt 0.2372 0.2372 0.7111
Pt 0.2372 0.7111 0.2372
Pt 0.2889 0.7628 0.7628
Pt 0.7111 0.2372 0.2372
Pt 0.7628 0.2889 0.7628
Pt 0.7628 0.7628 0.2889


# 4
Starting from a PBE-relaxed structure, the X-ray powder pattern of Nd2GeB2O8 was simulated for Cu Kα (λ = 1.5418 Å).
No peak broadening, texture or thermal motion is included.

The 12 most intense peaks (5 to 70 degrees two-theta), by angle:
2θ = 18.47°, I 24; 2θ = 22.54°, I 14; 2θ = 27.64°, I 53; 2θ = 27.86°, I 100; 2θ = 30.07°, I 15; 2θ = 31.89°, I 57; 2θ = 33.45°, I 25; 2θ = 37.45°, I 26; 2θ = 44.69°, I 16; 2θ = 47.16°, I 25; 2θ = 51.96°, I 18; 2θ = 54.15°, I 29

Cell: 13.8262 4.5193 9.6096 Å, 90.00 90.00 90.00°
Sites, in units of the cell vectors:
Nd 0.1407 0.0448 0.0268
Nd 0.1407 0.9552 0.5268
Nd 0.3593 0.4552 0.5268
Nd 0.3593 0.5448 0.0268
Nd 0.6407 0.4552 0.9732
Nd 0.6407 0.5448 0.4732
Nd 0.8593 0.0448 0.4732
Nd 0.8593 0.9552 0.9732
Ge 0.0000 0.4192 0.7500
Ge 0.0000 0.5808 0.2500
Ge 0.5000 0.0808 0.2500
Ge 0.5000 0.9192 0.7500
B 0.2003 0.4672 0.2950
B 0.2003 0.5328 0.7950
B 0.2997 0.0328 0.7950
B 0.2997 0.9672 0.2950
B 0.7003 0.0328 0.7050
B 0.7003 0.9672 0.2050
B 0.7997 0.4672 0.2050
B 0.7997 0.5328 0.7050
O 0.0051 0.2011 0.8995
O 0.0051 0.7989 0.3995
O 0.1064 0.3527 0.2320
O 0.1064 0.6473 0.7320
O 0.1924 0.4610 0.4451
O 0.1924 0.5390 0.9451
O 0.2197 0.2268 0.7389
O 0.2197 0.7732 0.2389
O 0.2803 0.2732 0.2389
O 0.2803 0.7268 0.7389
O 0.3076 0.0390 0.9451
O 0.3076 0.9610 0.4451
O 0.3936 0.1473 0.7320
O 0.3936 0.8527 0.2320
O 0.4949 0.2989 0.3995
O 0.4949 0.7011 0.8995
O 0.5051 0.2989 0.1005
O 0.5051 0.7011 0.6005
O 0.6064 0.1473 0.7680
O 0.6064 0.8527 0.2680
O 0.6924 0.0390 0.5549
O 0.6924 0.9610 0.0549
O 0.7197 0.2732 0.2611
O 0.7197 0.7268 0.7611
O 0.7803 0.2268 0.7611
O 0.7803 0.7732 0.2611
O 0.8076 0.4610 0.0549
O 0.8076 0.5390 0.5549
O 0.8936 0.3527 0.2680
O 0.8936 0.6473 0.7680
O 0.9949 0.2011 0.6005
O 0.9949 0.7989 0.1005


# 5
Starting from a PBE-relaxed structure, the X-ray powder pattern of Ni6GeB was simulated for Cu Kα (λ = 1.5418 Å).
No peak broadening, texture or thermal motion is included.

The 12 most intense peaks (5 to 70 degrees two-theta), by angle:
2θ = 20.10°, I 3; 2θ = 31.47°, I 6; 2θ = 32.59°, I 10; 2θ = 40.86°, I 7; 2θ = 41.76°, I 100; 2θ = 42.15°, I 42; 2θ = 44.74°, I 4; 2θ = 48.72°, I 68; 2θ = 52.14°, I 22; 2θ = 63.15°, I 4; 2θ = 68.92°, I 3; 2θ = 69.20°, I 16

Cell: 4.5836 4.5836 4.5836 Å, 99.90 99.90 99.90°
Sites, in units of the cell vectors:
Ni 0.2090 0.2090 0.6005
Ni 0.2090 0.6005 0.2090
Ni 0.3995 0.7910 0.7910
Ni 0.6005 0.2090 0.2090
Ni 0.7910 0.3995 0.7910
Ni 0.7910 0.7910 0.3995
Ge 0.0000 0.0000 0.0000
B 0.5000 0.5000 0.5000